1.
For Fe7Co, DFT lattice parameters and positions (PBE) gives the calculated powder diffraction line list in this record (copper Kα).
Peak positions follow from Bragg's law for the DFT cell and can differ from measured ones.

Most intense lines, 10 to 80 degrees two-theta, low angle first:
two_theta	Rel. int.
44.81	1000
65.23	147

Atomic structure:
```
Fe7Co
1.0
5.7211 0.0000 0.0000
0.0000 5.7211 0.0000
0.0000 0.0000 5.7211
Fe Co
14 2
Cartesian
0.0000 0.0000 2.8606 Fe
0.0000 2.8606 0.0000 Fe
0.0000 2.8606 2.8606 Fe
1.4303 1.4303 1.4303 Fe
1.4303 1.4303 4.2909 Fe
1.4303 4.2909 1.4303 Fe
1.4303 4.2909 4.2909 Fe
2.8606 0.0000 0.0000 Fe
2.8606 0.0000 2.8606 Fe
2.8606 2.8606 0.0000 Fe
4.2909 1.4303 1.4303 Fe
4.2909 1.4303 4.2909 Fe
4.2909 4.2909 1.4303 Fe
4.2909 4.2909 4.2909 Fe
0.0000 0.0000 0.0000 Co
2.8606 2.8606 2.8606 Co
```

2.
For Cd3PCl3, DFT lattice parameters and positions (PBE) gives the calculated powder diffraction line list in this record (copper Kα).
Peak positions follow from Bragg's law for the DFT cell and can differ from measured ones.

Most intense lines, 10 to 80 degrees two-theta, low angle first:
two_theta	Rel. int.
17.94	346
24.53	320
25.94	1000
29.17	917
36.34	528
42.02	277
44.05	490
46.58	584
53.34	237
55.78	235

Atomic structure:
```
Cd3PCl3
1.0
7.7989 0.0000 0.0000
-3.8995 6.7541 0.0000
0.0000 0.0000 7.2573
Cd P Cl
6 2 6
Cartesian
0.0000 0.0000 0.0000 Cd
-1.9497 3.3770 3.6287 Cd
0.0000 4.5027 0.1073 Cd
3.8995 0.0000 3.6287 Cd
1.9497 3.3770 3.6287 Cd
3.8995 2.2514 7.1500 Cd
0.0000 4.5027 2.5975 P
3.8995 2.2514 4.6598 P
0.0000 2.3133 5.8742 Cl
-1.8961 5.5974 5.8742 Cl
2.0034 1.1567 1.3831 Cl
1.8961 5.5974 5.8742 Cl
5.7955 1.1567 1.3831 Cl
3.8995 4.4407 1.3831 Cl
```

3.
For Li2TlHg, DFT lattice parameters and positions (PBE) gives the calculated powder diffraction line list in this record (copper Kα).
Peak positions follow from Bragg's law for the DFT cell and can differ from measured ones.

Most intense lines, 10 to 80 degrees two-theta, low angle first:
two_theta	Rel. int.
24.96	588
26.66	1000
36.84	966
38.06	443
46.06	471
58.66	233
61.23	204
62.07	196
65.56	184
67.98	332

Atomic structure:
```
Li2TlHg
1.0
3.3436 0.0000 0.0000
0.0000 3.3436 0.0000
0.0000 0.0000 7.1345
Li Tl Hg
2 1 1
Cartesian
0.0000 0.0000 1.6677 Li
0.0000 0.0000 5.4667 Li
1.6718 1.6718 3.5672 Tl
1.6718 1.6718 0.0000 Hg
```

4.
For NdAgAu2, DFT lattice parameters and positions (PBE) gives the calculated powder diffraction line list in this record (copper Kα).
Peak positions follow from Bragg's law for the DFT cell and can differ from measured ones.

Most intense lines, 10 to 80 degrees two-theta, low angle first:
two_theta	Rel. int.
21.74	5
25.16	53
35.88	1000
44.32	18
51.64	177
58.29	25
64.48	363
76.05	114

Atomic structure:
```
NdAgAu2
1.0
7.0795 0.0000 0.0000
0.0000 7.0795 0.0000
0.0000 0.0000 7.0795
Nd Ag Au
4 4 8
Cartesian
0.0000 0.0000 0.0000 Nd
0.0000 3.5398 3.5398 Nd
3.5398 0.0000 3.5398 Nd
3.5398 3.5398 0.0000 Nd
0.0000 0.0000 3.5398 Ag
0.0000 3.5398 0.0000 Ag
3.5398 0.0000 0.0000 Ag
3.5398 3.5398 3.5398 Ag
1.7699 1.7699 1.7699 Au
1.7699 1.7699 5.3096 Au
1.7699 5.3096 1.7699 Au
1.7699 5.3096 5.3096 Au
5.3096 1.7699 1.7699 Au
5.3096 1.7699 5.3096 Au
5.3096 5.3096 1.7699 Au
5.3096 5.3096 5.3096 Au
```

5.
For Zr5Al3, DFT lattice parameters and positions (PBE) gives the calculated powder diffraction line list in this record (copper Kα).
Peak positions follow from Bragg's law for the DFT cell and can differ from measured ones.

Most intense lines, 10 to 80 degrees two-theta, low angle first:
two_theta	Rel. int.
24.36	266
25.37	303
33.20	228
33.51	781
36.19	584
37.04	332
37.33	1000
40.57	489
58.82	227
59.47	256

Atomic structure:
```
Zr5Al3
1.0
-5.5501 5.5501 2.6984
5.5501 -5.5501 2.6984
5.5501 5.5501 -2.6984
Zr Al
10 6
Cartesian
8.6654 0.8743 0.0000 Zr
0.8743 2.4348 0.0000 Zr
5.5501 0.0000 1.3492 Zr
6.4244 3.1153 0.0000 Zr
3.1153 4.6759 0.0000 Zr
2.4348 0.8743 2.6984 Zr
-0.8743 2.4348 2.6984 Zr
0.0000 5.5501 1.3492 Zr
4.6759 3.1153 2.6984 Zr
-3.1153 4.6759 2.6984 Zr
3.7371 1.8130 0.0000 Al
0.0000 0.0000 1.3492 Al
3.7371 -1.8130 2.6984 Al
1.8130 7.3632 0.0000 Al
0.0000 0.0000 4.0475 Al
1.8130 3.7371 2.6984 Al
```

6.
For Li2U3Se2O20, DFT lattice parameters and positions (PBE) gives the calculated powder diffraction line list in this record (copper Kα).
Peak positions follow from Bragg's law for the DFT cell and can differ from measured ones.

Most intense lines, 10 to 80 degrees two-theta, low angle first:
two_theta	Rel. int.
11.89	1000
14.92	153
23.68	102
23.90	207
24.76	227
27.54	268
28.35	292
29.92	210
31.73	190
45.87	103

Atomic structure:
```
Li2U3Se2O20
1.0
7.4759 0.0000 0.0000
0.0000 7.1927 0.0000
-1.5661 0.0000 17.5061
Li U Se O
4 6 4 40
Cartesian
0.0700 0.0226 2.3224 Li
-0.7131 3.5738 11.0755 Li
6.6228 3.6189 6.4307 Li
5.8398 7.1701 15.1838 Li
2.8820 3.6169 6.8977 U
2.0989 7.1721 15.6508 U
2.9549 0.0000 8.7531 U
3.7379 3.5963 0.0000 U
3.8108 0.0206 1.8554 U
3.0278 3.5758 10.6084 U
1.7831 3.6500 14.0220 Se
2.5662 7.1390 5.2689 Se
3.3436 0.0537 12.2372 Se
4.1267 3.5427 3.4841 Se
-1.5153 0.6124 17.4207 O
-0.7322 2.9840 8.6677 O
-0.9455 4.8660 13.0819 O
-0.1625 5.9230 4.3288 O
-0.1022 1.2165 4.2917 O
-0.8853 2.3799 13.0447 O
1.0289 3.8367 6.7509 O
0.2458 6.9523 15.5040 O
1.9395 3.7408 0.0274 O
1.1564 7.0482 8.7804 O
1.1773 3.7497 10.8702 O
1.9604 7.0393 2.1171 O
2.5659 1.2840 6.3656 O
1.7829 2.3123 15.1187 O
2.7718 3.7875 4.5087 O
1.9887 7.0015 13.2617 O
2.0724 1.2599 17.4876 O
2.8555 2.3364 8.7345 O
2.3619 4.7710 15.2161 O
3.1450 6.0181 6.4631 O
2.7648 1.1746 11.0431 O
3.5478 2.4217 2.2900 O
3.0543 4.8563 8.7716 O
3.8373 5.9328 0.0186 O
3.9210 0.1912 4.2444 O
3.1380 3.4052 12.9975 O
4.1269 4.8803 2.3874 O
3.3438 5.9087 11.1405 O
3.9494 0.1534 15.3890 O
4.7324 3.4430 6.6360 O
4.7533 0.1445 8.7257 O
3.9703 3.4519 17.4788 O
5.6639 0.2404 2.0022 O
4.8809 3.3560 10.7552 O
6.7950 4.8128 4.4614 O
6.0120 5.9762 13.2145 O
6.0722 1.2697 13.1773 O
6.8553 2.3267 4.4242 O
6.6420 4.2087 8.8385 O
7.4251 6.5803 0.0854 O
```

7.
For Mg2GeB2Ir5, DFT lattice parameters and positions (PBE) gives the calculated powder diffraction line list in this record (copper Kα).
Peak positions follow from Bragg's law for the DFT cell and can differ from measured ones.

Most intense lines, 10 to 80 degrees two-theta, low angle first:
two_theta	Rel. int.
20.97	484
29.83	428
30.22	843
34.13	552
39.22	747
42.69	526
42.98	1000
46.22	567
50.30	521
78.37	503

Atomic structure:
```
Mg2GeB2Ir5
1.0
9.4713 0.0000 0.0000
0.0000 9.4713 0.0000
0.0000 0.0000 2.9573
Mg Ge B Ir
4 2 4 10
Cartesian
1.6513 3.0844 0.0000 Mg
3.0844 7.8201 0.0000 Mg
6.3869 1.6513 0.0000 Mg
7.8201 6.3869 0.0000 Mg
0.0000 0.0000 0.0000 Ge
4.7357 4.7357 0.0000 Ge
1.1892 5.9248 0.0000 B
3.5465 1.1892 0.0000 B
5.9248 8.2821 0.0000 B
8.2821 3.5465 0.0000 B
0.0000 4.7357 1.4786 Ir
0.6924 7.4507 1.4786 Ir
2.0206 0.6924 1.4786 Ir
2.7151 5.4281 1.4786 Ir
4.0433 2.7151 1.4786 Ir
4.7357 0.0000 1.4786 Ir
5.4281 6.7562 1.4786 Ir
6.7562 4.0433 1.4786 Ir
7.4507 8.7789 1.4786 Ir
8.7789 2.0206 1.4786 Ir
```

What is the formula in the second record?
Cd3PCl3